No. 1
Starting from a crystal structure in the Materials Project, relaxed with PBE, the X-ray powder pattern of NdOF was simulated for Cu Kα (λ = 1.5418 Å).
Neutral-atom scattering factors, no anomalous dispersion.

Crystal structure
a = 5.654 Å, b = 5.654 Å, c = 5.654 Å
α = 90.00°, β = 90.00°, γ = 90.00°
Space group F-43m (No. 216)
Asymmetric unit:
Nd 0.000 0.000 0.000 x4
O 0.250 0.250 0.750 x4
F 0.250 0.250 0.250 x4

Most intense lines, 2θ from 10° to 90°, most intense first:
2θ 27.32, I = 100.0, hkl 1 1 1
2θ 45.37, I = 57.6, hkl 2 2 0
2θ 53.77, I = 45.9, hkl 3 1 1
2θ 31.65, I = 28.1, hkl 2 0 0
2θ 72.92, I = 18.4, hkl 3 3 1
2θ 83.81, I = 17.7, hkl 4 2 2
2θ 75.14, I = 11.3, hkl 4 2 0
2θ 66.10, I = 8.8, hkl 4 0 0

No. 2
Starting from a crystal structure in the Materials Project, relaxed with PBE, the X-ray powder pattern of Nd2O3F3 was simulated for Cu Kα (λ = 1.5418 Å).
Neutral-atom scattering factors, no anomalous dispersion.

Crystal structure
a = 5.9806 Å, b = 5.9806 Å, c = 4.0838 Å
α = 90.00°, β = 90.00°, γ = 120.00°
Space group P-6 (No. 174)
Asymmetric unit:
Nd 0.0000 0.0000 0.0000 x1
Nd 0.3333 0.6667 0.5000 x1
O 0.1053 0.4515 0.0000 x3
F 0.2660 0.2353 0.5000 x3

Most intense lines, 2θ from 10° to 90°, most intense first:
2θ 27.82, I = 100.0, hkl 1 0 1
2θ 17.12, I = 97.3, hkl 1 0 0
2θ 41.28, I = 65.9, hkl 2 0 1
2θ 29.88, I = 63.2, hkl 1 1 0
2θ 51.79, I = 62.3, hkl 1 2 1
2θ 54.41, I = 24.5, hkl 1 1 2
2θ 69.35, I = 18.4, hkl 3 1 1
2θ 53.04, I = 17.5, hkl 3 0 0

No. 3
Starting from a crystal structure in the Materials Project, relaxed with PBE, the X-ray powder pattern of Nd6S3O2F8 was simulated for Cu Kα (λ = 1.5418 Å).
Neutral-atom scattering factors, no anomalous dispersion.

Crystal structure
a = 13.586 Å, b = 3.876 Å, c = 13.680 Å
α = 90.00°, β = 119.73°, γ = 90.00°
Space group Pm (No. 6)
Asymmetric unit:
Nd 0.000 0.000 0.000 x1
Nd 0.046 0.500 0.763 x1
Nd 0.140 0.500 0.520 x1
Nd 0.229 0.500 0.294 x1
Nd 0.338 0.000 0.830 x1
Nd 0.420 0.000 0.580 x1
Nd 0.519 0.000 0.344 x1
Nd 0.574 0.500 0.110 x1
Nd 0.671 0.000 0.918 x1
Nd 0.756 0.000 0.660 x1
Nd 0.807 0.500 0.455 x1
Nd 0.884 0.500 0.196 x1
S 0.010 0.000 0.585 x1
S 0.085 0.000 0.334 x1
S 0.469 0.500 0.776 x1
S 0.558 0.500 0.525 x1
S 0.755 0.000 0.247 x1
S 0.816 0.500 0.873 x1
O 0.299 0.500 0.491 x1
O 0.699 0.500 0.035 x1
O 0.715 0.000 0.469 x1
O 0.850 0.500 0.645 x1
F 0.030 0.500 0.128 x1
F 0.082 0.500 0.959 x1
F 0.176 0.000 0.854 x1
F 0.184 0.000 0.164 x1
F 0.215 0.500 0.734 x1
F 0.260 0.000 0.623 x1
F 0.352 0.000 0.375 x1
F 0.378 0.500 0.952 x1
F 0.388 0.500 0.260 x1
F 0.488 0.000 0.153 x1
F 0.529 0.000 0.984 x1
F 0.603 0.500 0.302 x1
F 0.616 0.000 0.723 x1
F 0.873 0.000 0.080 x1
F 0.945 0.500 0.390 x1
F 0.965 0.000 0.809 x1

Most intense lines, 2θ from 10° to 90°, most intense first:
2θ 30.50, I = 100.0, hkl 1 1 -3
2θ 27.19, I = 90.6, hkl 3 0 1
2θ 27.08, I = 90.2, hkl 1 0 -4
2θ 27.32, I = 83.1, hkl 4 0 -3
2θ 24.16, I = 82.1, hkl 0 1 1
2θ 46.85, I = 79.2, hkl 0 2 0
2θ 32.44, I = 71.1, hkl 3 1 -3
2θ 55.01, I = 53.5, hkl 3 2 1

No. 4
Starting from a crystal structure in the Materials Project, relaxed with PBE, the X-ray powder pattern of Nd2SeOF2 was simulated for Cu Kα (λ = 1.5418 Å).
Neutral-atom scattering factors, no anomalous dispersion.

Crystal structure
a = 13.9258 Å, b = 13.9258 Å, c = 3.9081 Å
α = 90.00°, β = 90.00°, γ = 120.00°
Space group P6_3/m (No. 176)
Asymmetric unit:
Nd 0.0550 0.2897 0.2500 x6
Nd 0.1186 0.6029 0.2500 x6
Se 0.2053 0.4872 0.7500 x6
O 0.0149 0.5873 0.7500 x6
F 0.0678 0.7518 0.2500 x6
F 0.1020 0.2107 0.7500 x6

Most intense lines, 2θ from 10° to 90°, most intense first:
2θ 30.12, I = 100.0, hkl 1 2 1
2θ 26.65, I = 99.6, hkl 1 3 0
2θ 31.94, I = 78.3, hkl 3 0 1
2θ 47.06, I = 51.5, hkl 5 2 0
2θ 34.50, I = 51.2, hkl 2 2 1
2θ 35.32, I = 46.3, hkl 1 3 1
2θ 52.88, I = 43.3, hkl 2 5 1
2θ 12.71, I = 37.0, hkl 1 1 0

No. 5
Starting from a crystal structure in the Materials Project, relaxed with PBE, the X-ray powder pattern of Nd2Pb5F16 was simulated for Cu Kα (λ = 1.5418 Å).
Neutral-atom scattering factors, no anomalous dispersion.

Crystal structure
a = 7.368 Å, b = 4.112 Å, c = 24.800 Å
α = 90.00°, β = 94.89°, γ = 90.00°
Space group Cm (No. 8)
Asymmetric unit:
Nd 0.000 0.000 0.000 x2
Nd 0.091 0.500 0.148 x2
Pb 0.109 0.500 0.857 x2
Pb 0.214 0.000 0.712 x2
Pb 0.333 0.500 0.572 x2
Pb 0.338 0.000 0.428 x2
Pb 0.467 0.500 0.290 x2
F 0.060 0.500 0.747 x2
F 0.122 0.500 0.247 x2
F 0.127 0.500 0.055 x2
F 0.128 0.500 0.390 x2
F 0.143 0.500 0.955 x2
F 0.157 0.000 0.610 x2
F 0.268 0.000 0.823 x2
F 0.272 0.000 0.150 x2
F 0.300 0.000 0.321 x2
F 0.319 0.000 0.999 x2
F 0.368 0.500 0.674 x2
F 0.442 0.500 0.194 x2
F 0.458 0.500 0.900 x2
F 0.462 0.000 0.539 x2
F 0.466 0.500 0.094 x2
F 0.484 0.500 0.463 x2

Most intense lines, 2θ from 10° to 90°, most intense first:
2θ 26.69, I = 100.0, hkl 1 1 -3
2θ 25.23, I = 66.3, hkl 0 0 7
2θ 29.30, I = 64.1, hkl 1 1 4
2θ 24.83, I = 47.2, hkl 2 0 1
2θ 43.60, I = 41.2, hkl 1 1 -10
2θ 43.07, I = 33.4, hkl 3 1 -2
2θ 48.72, I = 28.9, hkl 1 1 11
2θ 44.04, I = 23.9, hkl 0 2 0

No. 6
Starting from a crystal structure in the Materials Project, relaxed with PBE, the X-ray powder pattern of NdPb6F15 was simulated for Cu Kα (λ = 1.5418 Å).
Neutral-atom scattering factors, no anomalous dispersion.

Crystal structure
a = 7.232 Å, b = 4.216 Å, c = 24.622 Å
α = 90.00°, β = 95.85°, γ = 90.00°
Space group Cm (No. 8)
Asymmetric unit:
Nd 0.000 0.000 0.000 x2
Pb 0.107 0.500 0.723 x2
Pb 0.186 0.000 0.437 x2
Pb 0.217 0.500 0.145 x2
Pb 0.343 0.000 0.865 x2
Pb 0.396 0.500 0.580 x2
Pb 0.471 0.000 0.295 x2
F 0.008 0.500 0.398 x2
F 0.033 0.000 0.099 x2
F 0.074 0.500 0.614 x2
F 0.125 0.500 0.947 x2
F 0.134 0.500 0.825 x2
F 0.155 0.000 0.331 x2
F 0.180 0.500 0.047 x2
F 0.219 0.000 0.543 x2
F 0.288 0.000 0.759 x2
F 0.296 0.500 0.260 x2
F 0.326 0.000 0.997 x2
F 0.363 0.500 0.472 x2
F 0.393 0.000 0.175 x2
F 0.431 0.500 0.686 x2
F 0.471 0.500 0.902 x2

Most intense lines, 2θ from 10° to 90°, most intense first:
2θ 25.91, I = 100.0, hkl 1 1 2
2θ 42.49, I = 58.0, hkl 2 0 -10
2θ 25.46, I = 53.6, hkl 0 0 7
2θ 26.03, I = 50.2, hkl 2 0 -3
2θ 29.83, I = 49.3, hkl 1 1 -5
2θ 43.23, I = 35.5, hkl 3 1 -1
2θ 50.89, I = 30.7, hkl 2 2 -3
2θ 30.07, I = 21.6, hkl 2 0 4

No. 7
Starting from a crystal structure in the Materials Project, relaxed with PBE, the X-ray powder pattern of NdPb8F19 was simulated for Cu Kα (λ = 1.5418 Å).
Neutral-atom scattering factors, no anomalous dispersion.

Crystal structure
a = 7.161 Å, b = 4.199 Å, c = 32.170 Å
α = 90.00°, β = 90.65°, γ = 90.00°
Space group Cm (No. 8)
Asymmetric unit:
Nd 0.000 0.000 0.000 x2
Pb 0.009 0.000 0.317 x2
Pb 0.029 0.000 0.652 x2
Pb 0.155 0.500 0.100 x2
Pb 0.182 0.500 0.427 x2
Pb 0.207 0.500 0.762 x2
Pb 0.324 0.000 0.883 x2
Pb 0.332 0.000 0.207 x2
Pb 0.357 0.000 0.539 x2
F 0.014 0.000 0.397 x2
F 0.028 0.000 0.566 x2
F 0.030 0.000 0.730 x2
F 0.145 0.500 0.913 x2
F 0.154 0.500 0.006 x2
F 0.164 0.500 0.178 x2
F 0.176 0.500 0.344 x2
F 0.190 0.500 0.682 x2
F 0.195 0.500 0.509 x2
F 0.308 0.000 0.038 x2
F 0.316 0.000 0.962 x2
F 0.320 0.000 0.129 x2
F 0.342 0.000 0.288 x2
F 0.349 0.000 0.455 x2
F 0.357 0.000 0.623 x2
F 0.365 0.000 0.787 x2
F 0.476 0.500 0.857 x2
F 0.482 0.500 0.073 x2
F 0.499 0.500 0.234 x2

Most intense lines, 2θ from 10° to 90°, most intense first:
2θ 26.01, I = 100.0, hkl 1 1 3
2θ 24.91, I = 53.4, hkl 0 0 9
2θ 29.69, I = 49.9, hkl 1 1 -6
2θ 26.15, I = 45.7, hkl 2 0 -3
2θ 43.62, I = 37.9, hkl 3 1 0
2θ 42.05, I = 37.8, hkl 1 1 12
2θ 51.11, I = 35.9, hkl 3 1 9
2θ 30.17, I = 25.1, hkl 2 0 6

No. 8
Starting from a crystal structure in the Materials Project, relaxed with PBE, the X-ray powder pattern of NdPb7F17 was simulated for Cu Kα (λ = 1.5418 Å).
Neutral-atom scattering factors, no anomalous dispersion.

Crystal structure
a = 4.178 Å, b = 4.211 Å, c = 28.027 Å
α = 85.84°, β = 89.86°, γ = 60.28°
Space group P1 (No. 1)
Asymmetric unit:
Nd 0.000 0.000 0.000 x1
Pb 0.112 0.503 0.372 x1
Pb 0.266 0.984 0.746 x1
Pb 0.396 0.464 0.120 x1
Pb 0.512 0.987 0.497 x1
Pb 0.639 0.488 0.873 x1
Pb 0.696 0.028 0.246 x1
Pb 0.891 0.485 0.622 x1
F 0.014 0.175 0.087 x1
F 0.049 0.396 0.278 x1
F 0.167 0.612 0.466 x1
F 0.235 0.863 0.655 x1
F 0.297 0.113 0.844 x1
F 0.328 0.362 0.001 x1
F 0.362 0.645 0.214 x1
F 0.461 0.878 0.405 x1
F 0.550 0.108 0.591 x1
F 0.609 0.360 0.778 x1
F 0.656 0.825 0.047 x1
F 0.661 0.613 0.959 x1
F 0.692 0.918 0.155 x1
F 0.768 0.129 0.342 x1
F 0.856 0.364 0.529 x1
F 0.924 0.606 0.715 x1
F 0.981 0.878 0.912 x1

Most intense lines, 2θ from 10° to 90°, most intense first:
2θ 24.63, I = 100.0, hkl 1 1 1
2θ 25.51, I = 90.1, hkl 0 0 8
2θ 26.02, I = 84.6, hkl 1 0 -3
2θ 28.54, I = 68.2, hkl 0 1 -4
2θ 26.64, I = 53.4, hkl 0 1 4
2θ 37.33, I = 49.8, hkl 1 1 9
2θ 29.89, I = 40.2, hkl 1 0 5
2θ 42.67, I = 33.2, hkl 1 0 -11